Diffraction record for LiV3Zn2O8. The powder XRD pattern is theoretical, not measured: it uses a DFT-relaxed cell (PBE+U, Alexandria) and Cu Kα, 1.54184 Å.
Intensities are scaled so that the largest is 100.

Largest 12 diffraction maxima, by angle, 2θ = 10–80°:
- 2θ = 18.28°, 4.854 Å, intensity 26
- 2θ = 29.96°, 2.982 Å, intensity 79
- 2θ = 30.01°, 2.978 Å, intensity 34
- 2θ = 34.99°, 2.565 Å, intensity 37
- 2θ = 35.16°, 2.552 Å, intensity 100
- 2θ = 35.24°, 2.547 Å, intensity 71
- 2θ = 35.38°, 2.537 Å, intensity 31
- 2θ = 52.97°, 1.729 Å, intensity 27
- 2θ = 56.54°, 1.628 Å, intensity 24
- 2θ = 56.81°, 1.621 Å, intensity 20
- 2θ = 61.82°, 1.501 Å, intensity 35
- 2θ = 62.31°, 1.490 Å, intensity 47

Structure:
a b c (Å): 5.964 5.964 10.414
angles (deg): 107.11 107.11 60.14
Element x y z (fractional)
Li1 0.000 0.500 0.000
Li2 0.500 0.000 0.500
V1 0.000 0.000 0.000
V2 0.000 0.000 0.500
V3 0.250 0.750 0.250
V4 0.500 0.500 0.000
V5 0.500 0.500 0.500
V6 0.750 0.250 0.750
Zn1 0.069 0.572 0.691
Zn2 0.428 0.931 0.809
Zn3 0.572 0.069 0.191
Zn4 0.931 0.428 0.309
O1 0.086 0.130 0.872
O2 0.130 0.086 0.372
O3 0.146 0.626 0.374
O4 0.154 0.629 0.894
O5 0.371 0.846 0.606
O6 0.374 0.410 0.126
O7 0.374 0.854 0.126
O8 0.410 0.374 0.626
O9 0.590 0.626 0.374
O10 0.626 0.146 0.874
O11 0.626 0.590 0.874
O12 0.629 0.154 0.394
O13 0.846 0.371 0.106
O14 0.854 0.374 0.626
O15 0.870 0.914 0.628
O16 0.914 0.870 0.128